Starting from a cell relaxed with PBE, the PXRD pattern of Pr8Nd3Ho was calculated for CuKα.
No peak broadening, texture or thermal motion is included.

Crystal structure
```
Pr8Nd3Ho
1.0
-4.4603 4.4603 5.8687
4.4603 -4.4603 5.8687
4.4603 4.4603 -5.8687
Pr Nd Ho
8 3 1
direct
0.1239 0.1239 0.7518 Pr
0.2407 0.2407 0.4949 Pr
0.2543 0.7593 0.0000 Pr
0.3721 0.3721 0.2482 Pr
0.6279 0.8761 0.0000 Pr
0.7457 0.7457 0.5051 Pr
0.7593 0.2543 0.0000 Pr
0.8761 0.6279 0.0000 Pr
0.2500 0.7500 0.5000 Nd
0.5000 0.5000 0.0000 Nd
0.7500 0.2500 0.5000 Nd
0.0000 0.0000 0.0000 Ho
```

Peak list (6 most intense, 10° ≤ 2θ ≤ 90°, sorted by position)
2theta, d [Å], I (rel.)
23.55, 3.777, 59
25.08, 3.551, 48
28.30, 3.154, 79
30.46, 2.934, 71
35.30, 2.542, 100
42.06, 2.148, 53

Starting from a cell relaxed with PBE, the PXRD pattern of PrNd3Ho was calculated for CuKα.
No peak broadening, texture or thermal motion is included.

Crystal structure
```
PrNd3Ho
1.0
4.0920 -7.0773 0.0000
4.0920 7.0773 0.0000
0.0000 0.0000 6.2433
Pr Nd Ho
2 6 2
direct
0.2012 0.7988 0.7500 Pr
0.7988 0.2012 0.2500 Pr
0.0000 0.0000 0.0000 Nd
0.0000 0.0000 0.5000 Nd
0.2023 0.4010 0.7500 Nd
0.4010 0.2023 0.2500 Nd
0.5990 0.7977 0.7500 Nd
0.7977 0.5990 0.2500 Nd
0.3350 0.6650 0.2500 Ho
0.6650 0.3350 0.7500 Ho
```

Peak list (6 most intense, 10° ≤ 2θ ≤ 90°, sorted by position)
2theta, d [Å], I (rel.)
21.73, 4.089, 25
28.99, 3.080, 100
31.31, 2.857, 27
33.48, 2.677, 31
38.44, 2.342, 41
44.30, 2.044, 23

Which formula does entry 2 have? PrNd3Ho